[1]
Diffraction record for TlSiSbO6. The powder X-ray diffraction pattern is calculated, not measured: it uses DFT lattice parameters and positions (PBE) and CuKα.

Most intense lines, 5 to 70 degrees two-theta, most intense first:
d/Å	Rel. int.
3.234	100
1.739	30
2.533	29
1.994	25
1.567	24
4.387	21
1.499	10
2.101	10
1.462	10
2.194	7
2.393	6
1.658	4

Structure:
```
TlSiSbO6
1.0
5.066 0.000 0.000
-2.533 4.387 0.000
0.000 0.000 4.785
Tl Si Sb O
1 1 1 6
Cartesian
0.000 0.000 0.000
2.533 1.462 2.393
0.000 2.925 2.393
1.881 0.118 3.427
1.042 1.570 1.358
3.185 0.118 1.358
1.694 2.700 3.427
4.024 1.570 3.427
3.372 2.700 1.358
```

[2]
Diffraction record for Sm4Sb6O19. The powder X-ray diffraction pattern is calculated, not measured: it uses DFT lattice parameters and positions (PBE) and CuKα.

Most intense lines, 5 to 70 degrees two-theta, most intense first:
d/Å	Rel. int.
3.029	100
3.899	61
2.968	44
2.747	37
3.854	34
2.524	25
1.854	24
1.864	21
2.552	21
2.561	17
2.545	16
1.877	14

Structure:
```
Sm4Sb6O19
1.0
6.772 -4.683 0.000
6.772 4.683 0.000
-6.760 0.000 6.792
Sm Sb O
4 6 19
Cartesian
0.123 0.000 1.984
-1.966 -2.122 6.660
6.660 0.000 4.808
8.749 -2.122 0.133
-2.263 1.278 4.514
3.391 2.755 3.396
5.670 1.274 1.103
1.113 1.274 5.690
3.391 -0.205 3.396
9.046 1.278 2.279
-2.598 1.564 6.489
1.913 1.278 1.921
1.643 2.913 4.751
-0.289 0.986 4.182
5.140 2.913 2.041
6.772 2.592 0.000
-2.392 -0.681 4.795
1.988 -1.448 2.413
6.772 -0.049 0.000
4.725 -0.361 1.630
9.381 1.564 0.303
2.058 -0.361 5.163
4.870 1.278 4.871
7.072 0.986 2.610
4.795 -1.448 4.379
2.445 -3.409 4.340
6.772 -3.406 0.000
4.338 -3.409 2.453
9.175 -0.681 1.997
```